# 1
Cd4Br3O2: calculated XRD peak list (Cu Kα (weighted mean of Kα1 and Kα2)), based on DFT lattice parameters and positions (PBE).

Structural model:
Cell: 7.2351 7.2351 10.2489 Å, 116.18 116.18 30.72°
Sites, in units of the cell vectors:
Cd1 0.0009 0.0009 0.2175
Cd2 0.2458 0.2458 0.6269
Cd3 0.7542 0.7542 0.3731
Cd4 0.9991 0.9991 0.7825
Br1 0.3719 0.3719 0.2718
Br2 0.5000 0.5000 0.0000
Br3 0.6281 0.6281 0.7282
O1 0.1701 0.1701 0.3747
O2 0.8299 0.8299 0.6253

Largest 10 diffraction maxima, most intense first, 5° ≤ 2θ ≤ 70°:
d (Å)	Rel. int.
2.815	100
4.295	62
2.510	35
4.557	30
2.683	22
6.767	21
1.668	19
1.916	18
3.102	17
2.253	16



# 2
CdBrO: calculated XRD peak list (Cu Kα (weighted mean of Kα1 and Kα2)), based on DFT lattice parameters and positions (PBE).

Structural model:
Cell: 5.3095 4.0364 6.3214 Å, 90.00 112.80 90.00°
Sites, in units of the cell vectors:
Cd1 0.1801 0.2500 0.2213
Cd2 0.8199 0.7500 0.7787
Br1 0.4050 0.2500 0.7328
Br2 0.5950 0.7500 0.2672
O1 0.0011 0.2500 0.8086
O2 0.9989 0.7500 0.1914

Largest 10 diffraction maxima, most intense first, 5° ≤ 2θ ≤ 70°:
d (Å)	Rel. int.
3.114	100
2.914	74
2.450	42
4.766	39
3.081	38
2.217	34
2.653	33
2.502	31
2.018	28
1.659	26



# 3
Rb5CdBrO2: calculated XRD peak list (Cu Kα (weighted mean of Kα1 and Kα2)), based on DFT lattice parameters and positions (PBE).

Structural model:
Cell: 5.8200 5.8200 9.9239 Å, 90.00 90.00 90.00°
Sites, in units of the cell vectors:
Rb1 0.0000 0.0000 0.0000
Rb2 0.0000 0.5000 0.2736
Rb3 0.0000 0.5000 0.7264
Rb4 0.5000 0.0000 0.2736
Rb5 0.5000 0.0000 0.7264
Cd1 0.0000 0.0000 0.5000
Br1 0.5000 0.5000 0.0000
O1 0.0000 0.0000 0.2838
O2 0.0000 0.0000 0.7162

Largest 10 diffraction maxima, most intense first, 5° ≤ 2θ ≤ 70°:
d (Å)	Rel. int.
3.168	100
2.910	52
1.726	33
1.888	23
2.058	19
5.820	15
2.481	13
5.020	13
1.584	13
1.535	9



# 4
CdSBrO4: calculated XRD peak list (Cu Kα (weighted mean of Kα1 and Kα2)), based on DFT lattice parameters and positions (PBE).

Structural model:
Cell: 6.5592 6.5592 6.4145 Å, 100.28 100.28 56.03°
Sites, in units of the cell vectors:
Cd1 0.1915 0.1915 0.3091
Cd2 0.8085 0.8085 0.6909
S1 0.1410 0.1410 0.7549
S2 0.8590 0.8590 0.2451
Br1 0.4677 0.4677 0.8185
Br2 0.5323 0.5323 0.1815
O1 0.0149 0.0149 0.7554
O2 0.0198 0.6320 0.3676
O3 0.2127 0.2127 0.9738
O4 0.3680 0.9802 0.6324
O5 0.6320 0.0198 0.3676
O6 0.7873 0.7873 0.0262
O7 0.9802 0.3680 0.6324
O8 0.9851 0.9851 0.2446

Largest 10 diffraction maxima, most intense first, 5° ≤ 2θ ≤ 70°:
d (Å)	Rel. int.
3.222	100
3.081	60
3.141	34
3.919	32
4.710	30
2.199	23
3.092	22
2.686	18
1.630	18
2.578	18